Structure and computed X-ray diffraction stick pattern of K2Sm2MgMo4O16 (a DFT-relaxed cell (PBE+U, Alexandria); Cu Kα X-rays).
Lines closer than 0.1° are merged.

Most intense lines, 2θ from 10° to 90°, in order of rising 2θ:
2θ/deg, d/Å, I_rel, h k l
12.24, 7.232, 65, 0 1 0
13.54, 6.540, 45, 1 0 0
23.21, 3.832, 45, 1 0 2
24.04, 3.702, 82, 1 2 1
24.36, 3.653, 100, 0 0 2
24.62, 3.616, 57, 0 2 0
27.26, 3.271, 80, 2 0 0
29.39, 3.040, 67, 2 0 2
30.60, 2.921, 55, -1 2 1
34.21, 2.621, 26, 1 2 3

Cell and atoms:
```
data_K2Sm2MgMo4O16
_cell_length_a 7.184
_cell_length_b 7.801
_cell_length_c 8.418
_cell_angle_alpha 68.47
_cell_angle_beta 65.99
_cell_angle_gamma 77.31
_symmetry_space_group_name_H-M 'P 1'
_symmetry_Int_Tables_number 1
loop_
_symmetry_equiv_pos_as_xyz
'x,y,z'
loop_
_atom_site_label
_atom_site_type_symbol
_atom_site_fract_x
_atom_site_fract_y
_atom_site_fract_z
K1 K 0.000 0.000 0.000
K2 K 0.118 0.866 0.499
Sm1 Sm 0.623 0.588 0.391
Sm2 Sm 0.701 0.449 0.837
Mg1 Mg 0.298 0.314 0.676
Mo1 Mo 0.135 0.441 0.349
Mo2 Mo 0.165 0.536 0.933
Mo3 Mo 0.609 0.947 0.886
Mo4 Mo 0.636 0.094 0.357
O1 O 0.036 0.387 0.863
O2 O 0.106 0.768 0.830
O3 O 0.195 0.207 0.461
O4 O 0.293 0.544 0.430
O5 O 0.336 0.510 0.079
O6 O 0.367 0.059 0.871
O7 O 0.431 0.473 0.739
O8 O 0.516 0.879 0.455
O9 O 0.571 0.253 0.492
O10 O 0.602 0.823 0.116
O11 O 0.629 0.215 0.133
O12 O 0.706 0.777 0.765
O13 O 0.773 0.130 0.794
O14 O 0.875 0.525 0.520
O15 O 0.896 0.025 0.314
O16 O 0.952 0.496 0.195
```